[1]
The following is a calculated powder X-ray diffraction pattern of Nd2HfSe2N2. It was derived from a cell relaxed with PBE, using λ = 1.5418 Å (Cu Kα).
Intensities are scaled so that the largest is 100.

Principal peaks in the range 10 to 90 degrees two-theta, by intensity:
2θ 36.3, rel. 100; 2θ 29.8, rel. 92; 2θ 57.2, rel. 58; 2θ 42.6, rel. 41; 2θ 11.6, rel. 26; 2θ 89.2, rel. 19; 2θ 27.4, rel. 18; 2θ 70.1, rel. 16

Crystal structure
a b c (Å): 8.1936 8.1936 8.1936
angles (deg): 149.98 149.98 42.97
Atoms (fractional coordinates):
Nd: 0.1121 0.1121 0.0000
Nd: 0.8879 0.8879 0.0000
Hf: 0.5000 0.5000 0.0000
Se: 0.3203 0.3203 0.0000
Se: 0.6797 0.6797 0.0000
N: 0.0000 0.5000 0.5000
N: 0.5000 0.0000 0.5000

=====

[2]
The following is a calculated powder X-ray diffraction pattern of Hf8Ni4N. It was derived from a cell relaxed with PBE, using λ = 1.5418 Å (Cu Kα).
Intensities are scaled so that the largest is 100.

Principal peaks in the range 10 to 90 degrees two-theta, by intensity:
2θ 38.7, rel. 100; 2θ 36.4, rel. 48; 2θ 32.3, rel. 46; 2θ 42.3, rel. 31; 2θ 65.5, rel. 30; 2θ 65.4, rel. 10; 2θ 78.8, rel. 10; 2θ 67.1, rel. 10

Crystal structure
a b c (Å): 8.5525 8.5525 8.5525
angles (deg): 120.08 119.88 90.03
Atoms (fractional coordinates):
Hf: 0.0000 0.0000 0.0000
Hf: 0.0000 0.0000 0.5000
Hf: 0.0000 0.5000 0.0000
Hf: 0.1878 0.4378 0.7500
Hf: 0.1920 0.4383 0.3769
Hf: 0.1920 0.8151 0.7537
Hf: 0.4386 0.1849 0.8769
Hf: 0.4386 0.5617 0.2537
Hf: 0.4409 0.1909 0.2500
Hf: 0.5000 0.0000 0.5000
Hf: 0.5591 0.8091 0.7500
Hf: 0.5614 0.4383 0.7463
Hf: 0.5614 0.8151 0.1231
Hf: 0.8080 0.1849 0.2463
Hf: 0.8080 0.5617 0.6231
Hf: 0.8122 0.5622 0.2500
Ni: 0.1531 0.2195 0.9336
Ni: 0.2142 0.7805 0.4336
Ni: 0.2185 0.1607 0.4422
Ni: 0.2185 0.7763 0.0578
Ni: 0.7815 0.2237 0.9422
Ni: 0.7815 0.8393 0.5578
Ni: 0.7858 0.2195 0.5664
Ni: 0.8469 0.7805 0.0664
N: 0.5000 0.0000 0.0000
N: 0.5000 0.5000 0.5000